Entry 1:
Calculated X-ray diffraction stick pattern
Compound: LaPr12In4O3
Radiation: Cu Kα
Structure: a GGA-PBE-relaxed structure
Peak positions follow from Bragg's law for the DFT cell and can differ from measured ones.

Structure:
a b c (Å): 10.3354 10.3354 10.3354
angles (deg): 90.00 90.00 90.00
Space group Im-3m (No. 229)
Symmetry-distinct sites (fractional):
La 0.0000 0.0000 0.0000 (multiplicity 2)
Pr 0.0000 0.0000 0.2721 (multiplicity 12)
Pr 0.0000 0.2500 0.5000 (multiplicity 12)
In 0.2500 0.2500 0.2500 (multiplicity 8)
O 0.0000 0.0000 0.5000 (multiplicity 6)

Top 8 peaks for 2θ = 10–90°, low angle first:
2θ (°), d (Å), Rel. int.
29.95, 2.984, 100
34.72, 2.584, 71
49.91, 1.827, 49
59.31, 1.558, 40
62.23, 1.492, 16
73.27, 1.292, 7
81.12, 1.186, 15
83.70, 1.156, 19



Entry 2:
Calculated X-ray diffraction stick pattern
Compound: Mg5Si9
Radiation: Cu Kα
Structure: a GGA-PBE-relaxed structure
Peak positions follow from Bragg's law for the DFT cell and can differ from measured ones.

Structure:
a b c (Å): 5.7253 7.5824 13.2271
angles (deg): 101.53 93.38 110.60
Space group P1 (No. 1)
Symmetry-distinct sites (fractional):
Mg 0.0000 0.0000 0.0000 (multiplicity 1)
Mg 0.0041 0.7094 0.1746 (multiplicity 1)
Mg 0.0535 0.3564 0.7367 (multiplicity 1)
Mg 0.1680 0.1172 0.3339 (multiplicity 1)
Mg 0.3965 0.3796 0.1436 (multiplicity 1)
Mg 0.5363 0.0370 0.7059 (multiplicity 1)
Mg 0.5944 0.6608 0.7834 (multiplicity 1)
Mg 0.6109 0.0919 0.4607 (multiplicity 1)
Mg 0.8469 0.3160 0.2635 (multiplicity 1)
Mg 0.9842 0.9608 0.5702 (multiplicity 1)
Si 0.1142 0.7522 0.7077 (multiplicity 1)
Si 0.1146 0.7768 0.3973 (multiplicity 1)
Si 0.1329 0.3639 0.5087 (multiplicity 1)
Si 0.1512 0.7085 0.8818 (multiplicity 1)
Si 0.2327 0.4666 0.9630 (multiplicity 1)
Si 0.3795 0.0268 0.1588 (multiplicity 1)
Si 0.3855 0.2172 0.8877 (multiplicity 1)
Si 0.3881 0.6382 0.3112 (multiplicity 1)
Si 0.4234 0.7086 0.5142 (multiplicity 1)
Si 0.4366 0.3147 0.6310 (multiplicity 1)
Si 0.5052 0.0087 0.9866 (multiplicity 1)
Si 0.5942 0.7415 0.0573 (multiplicity 1)
Si 0.6617 0.8994 0.2432 (multiplicity 1)
Si 0.6917 0.5399 0.4098 (multiplicity 1)
Si 0.7725 0.5349 0.9488 (multiplicity 1)
Si 0.8214 0.4958 0.5774 (multiplicity 1)
Si 0.8786 0.3372 0.0561 (multiplicity 1)
Si 0.9653 0.0040 0.7893 (multiplicity 1)

Top 8 peaks for 2θ = 10–90°, low angle first:
2θ (°), d (Å), Rel. int.
33.31, 2.690, 85
34.74, 2.582, 100
34.93, 2.569, 44
35.33, 2.541, 29
41.16, 2.193, 48
41.31, 2.185, 46
41.57, 2.172, 35
49.02, 1.858, 42



Entry 3:
Calculated X-ray diffraction stick pattern
Compound: Ce6GeOs2
Radiation: Cu Kα
Structure: a GGA-PBE-relaxed structure
Peak positions follow from Bragg's law for the DFT cell and can differ from measured ones.

Structure:
a b c (Å): 10.1244 4.8273 8.8185
angles (deg): 90.00 95.29 90.00
Space group C2/m (No. 12)
Symmetry-distinct sites (fractional):
Ce 0.0560 0.0000 0.3509 (multiplicity 4)
Ce 0.1093 0.5000 0.6690 (multiplicity 4)
Ce 0.1947 0.5000 0.0915 (multiplicity 4)
Ge 0.0000 0.0000 0.0000 (multiplicity 2)
Os 0.2304 0.5000 0.3831 (multiplicity 4)

Top 8 peaks for 2θ = 10–90°, low angle first:
2θ (°), d (Å), Rel. int.
10.07, 8.781, 66
30.54, 2.927, 46
32.46, 2.758, 64
33.31, 2.690, 66
34.83, 2.576, 49
37.23, 2.415, 100
39.89, 2.260, 39
43.35, 2.087, 46



> What is the formula in the first record?

LaPr12In4O3